(1)
Calculated powder diffractogram of LiPuBe2H8 for λ = 1.5418 Å (Cu Kα), from a structure optimized by DFT (PBE).

Principal peaks in the range 2θ = 10–80°, most intense first:
Position (°2θ)	d (Å)	Rel. int.
27.69	3.222	100
13.68	6.472	87
23.95	3.715	74
36.83	2.440	55
51.12	1.787	40
44.50	2.036	30

Structural model:
a = 4.2898 Å, b = 4.2898 Å, c = 6.4719 Å
α = 90.00°, β = 90.00°, γ = 120.00°
Space group P-3 (No. 147)
Asymmetric unit:
Li: 0.0000 0.0000 0.0000 [1 per cell]
Pu: 0.0000 0.0000 0.5000 [1 per cell]
Be: 0.3333 0.6667 0.2601 [2 per cell]
H: 0.0436 0.3205 0.2132 [6 per cell]
H: 0.3333 0.6667 0.4910 [2 per cell]

***

(2)
Calculated powder diffractogram of Li2BeH6Rh for λ = 1.5418 Å (Cu Kα), from a structure optimized by DFT (PBE).

Principal peaks in the range 2θ = 10–80°, most intense first:
Position (°2θ)	d (Å)	Rel. int.
23.06	3.857	100
26.28	3.391	60
21.62	4.111	36
38.40	2.344	33
44.49	2.036	32
36.60	2.455	29

Structural model:
a = 4.6885 Å, b = 4.6885 Å, c = 24.6643 Å
α = 90.00°, β = 90.00°, γ = 120.00°
Space group R-3m (No. 166, hexagonal axes)
Asymmetric unit:
Li: 0.0000 0.0000 0.1251 [6 per cell]
Li: 0.0000 0.0000 0.3072 [6 per cell]
Be: 0.0000 0.0000 0.4093 [6 per cell]
H: 0.0078 0.5039 0.1247 [18 per cell]
H: 0.0164 0.5082 0.2929 [18 per cell]
Rh: 0.0000 0.0000 0.0000 [3 per cell]
Rh: 0.0000 0.0000 0.5000 [3 per cell]